Simulated powder diffraction line list
Compound: Mg16Si8HO32
Radiation: Cu Kα, 1.54184 Å
Structure: DFT lattice parameters and positions (GGA-PBE)
Neutral-atom scattering factors, no anomalous dispersion.

Structural model:
a = 8.2100 Å, b = 8.2106 Å, c = 8.2327 Å
α = 89.57°, β = 89.86°, γ = 89.89°
Positions (direct):
Mg 0.0000 0.0000 0.0000
Mg 0.9995 0.2414 0.7451
Mg 0.0007 0.7497 0.2500
Mg 0.2516 0.2459 0.9994
Mg 0.2521 0.9992 0.7490
Mg 0.2535 0.7472 0.4970
Mg 0.2545 0.4976 0.2507
Mg 0.4998 0.9980 0.4986
Mg 0.5007 0.2476 0.2487
Mg 0.5014 0.7491 0.7491
Mg 0.5028 0.4970 0.0000
Mg 0.7416 0.4951 0.7468
Mg 0.7471 0.2460 0.4996
Mg 0.7492 0.7484 0.9998
Mg 0.7498 0.9981 0.2479
Mg 0.9956 0.4816 0.4728
Si 0.1261 0.1210 0.3732
Si 0.1386 0.6339 0.8909
Si 0.3735 0.3733 0.6238
Si 0.3763 0.8736 0.1242
Si 0.6252 0.1228 0.8740
Si 0.6251 0.6230 0.3737
Si 0.8727 0.8749 0.6263
Si 0.8748 0.3724 0.1193
H 0.0086 0.6211 0.6721
O 0.0054 0.2388 0.4921
O 0.0065 0.0031 0.2563
O 0.0074 0.7449 0.9976
O 0.0126 0.5255 0.7530
O 0.2438 0.0024 0.4934
O 0.2436 0.2418 0.2552
O 0.2474 0.5025 0.9973
O 0.2470 0.7444 0.7581
O 0.2520 0.4918 0.5053
O 0.2533 0.2556 0.7433
O 0.2563 0.7537 0.2424
O 0.2563 0.9915 0.0049
O 0.4911 0.4921 0.7424
O 0.4927 0.2547 0.5054
O 0.4937 0.7538 0.0052
O 0.4943 0.9917 0.2427
O 0.5071 0.2418 0.9924
O 0.5069 0.7413 0.4931
O 0.5076 0.0048 0.7547
O 0.5076 0.5041 0.2555
O 0.7449 0.0041 0.9925
O 0.7453 0.2422 0.7544
O 0.7451 0.5028 0.4927
O 0.7458 0.7415 0.2560
O 0.7574 0.4926 0.0007
O 0.7569 0.7522 0.7439
O 0.7570 0.9909 0.5043
O 0.7579 0.2549 0.2418
O 0.9944 0.9900 0.7428
O 0.9949 0.2567 0.9993
O 0.9952 0.4923 0.2341
O 0.9945 0.7446 0.5161

The 12 most intense peaks (10 to 80 degrees two-theta), by angle:
hkl	d/Å	two_theta	I_rel
2 0 2	2.914	30.68	19.7
2 0 -2	2.903	30.80	30.7
1 1 3	2.485	36.14	49.8
-1 3 1	2.477	36.27	100.0
1 -3 1	2.472	36.34	50.9
0 0 4	2.058	44.00	30.5
4 0 0	2.053	44.12	60.7
0 4 4	1.459	63.80	22.3
4 0 4	1.455	63.98	22.4
4 0 -4	1.452	64.13	45.1
4 -4 0	1.450	64.24	22.8
0 4 -4	1.448	64.34	22.6